No. 1
Starting from a crystal structure in the Materials Project, relaxed with PBE, the X-ray diffraction stick pattern of PrSnPd was simulated for Cu Kα, 1.54184 Å.
Intensities are scaled so that the largest is 100.

Largest 12 diffraction maxima, by intensity, 2θ = 10–90°:
32.16°, I = 100.0; 38.48°, I = 61.5; 31.41°, I = 51.1; 37.97°, I = 44.7; 32.36°, I = 37.5; 37.19°, I = 31.4; 68.92°, I = 27.8; 61.97°, I = 27.3; 54.20°, I = 21.3; 50.73°, I = 21.2; 64.96°, I = 13.2; 87.33°, I = 11.0

Structure:
```
data_PrSnPd
_chemical_formula_sum 'Pr4 Sn4 Pd4'
_cell_length_a 7.602
_cell_length_b 4.739
_cell_length_c 8.069
_cell_angle_alpha 90.00
_cell_angle_beta 90.00
_cell_angle_gamma 90.00
_space_group_name_H-M_alt 'P 1'
_space_group_IT_number 1
loop_
_space_group_symop_operation_xyz
'x,y,z'
loop_
_atom_site_label
_atom_site_fract_x
_atom_site_fract_y
_atom_site_fract_z
Pr1 0.013 0.250 0.201
Pr2 0.487 0.750 0.701
Pr3 0.513 0.250 0.299
Pr4 0.987 0.750 0.799
Sn1 0.186 0.250 0.587
Sn2 0.314 0.750 0.087
Sn3 0.686 0.250 0.913
Sn4 0.814 0.750 0.413
Pd1 0.200 0.750 0.414
Pd2 0.300 0.250 0.914
Pd3 0.700 0.750 0.086
Pd4 0.800 0.250 0.586
```

No. 2
Starting from a crystal structure in the Materials Project, relaxed with PBE, the X-ray diffraction stick pattern of PdPt3 was simulated for Cu Kα, 1.54184 Å.
Intensities are scaled so that the largest is 100.

Largest 12 diffraction maxima, by intensity, 2θ = 10–90°:
39.29°, I = 100.0; 45.69°, I = 49.1; 80.15°, I = 38.6; 66.60°, I = 32.2; 84.50°, I = 11.4; 25.06°, I = 4.6; 22.40°, I = 1.5; 52.80°, I = 1.3; 40.98°, I = 1.3; 31.85°, I = 1.3; 63.03°, I = 1.2; 51.44°, I = 0.7

Structure:
```
data_PdPt3
_chemical_formula_sum 'Pd2 Pt6'
_cell_length_a 3.973
_cell_length_b 3.973
_cell_length_c 7.938
_cell_angle_alpha 90.00
_cell_angle_beta 90.00
_cell_angle_gamma 90.00
_space_group_name_H-M_alt 'P 1'
_space_group_IT_number 1
loop_
_space_group_symop_operation_xyz
'x,y,z'
loop_
_atom_site_label
_atom_site_fract_x
_atom_site_fract_y
_atom_site_fract_z
Pd1 0.000 0.000 0.000
Pd2 0.500 0.500 0.500
Pt1 0.000 0.000 0.500
Pt2 0.000 0.500 0.250
Pt3 0.000 0.500 0.750
Pt4 0.500 0.000 0.250
Pt5 0.500 0.000 0.750
Pt6 0.500 0.500 0.000
```

No. 3
Starting from a crystal structure in the Materials Project, relaxed with PBE, the X-ray diffraction stick pattern of Sc2PdPt was simulated for Cu Kα, 1.54184 Å.
Intensities are scaled so that the largest is 100.

Largest 12 diffraction maxima, by intensity, 2θ = 10–90°:
38.49°, I = 100.0; 26.95°, I = 36.8; 69.62°, I = 33.7; 55.56°, I = 16.9; 62.81°, I = 15.0; 47.61°, I = 11.1; 82.47°, I = 10.6; 23.29°, I = 10.5; 88.72°, I = 7.9; 45.47°, I = 5.9; 61.05°, I = 2.6; 87.16°, I = 2.1

Structure:
```
data_Sc2PdPt
_chemical_formula_sum 'Sc8 Pd4 Pt4'
_cell_length_a 6.616
_cell_length_b 6.616
_cell_length_c 6.616
_cell_angle_alpha 90.00
_cell_angle_beta 90.00
_cell_angle_gamma 90.00
_space_group_name_H-M_alt 'P 1'
_space_group_IT_number 1
loop_
_space_group_symop_operation_xyz
'x,y,z'
loop_
_atom_site_label
_atom_site_fract_x
_atom_site_fract_y
_atom_site_fract_z
Sc1 0.250 0.250 0.250
Sc2 0.250 0.250 0.750
Sc3 0.250 0.750 0.250
Sc4 0.250 0.750 0.750
Sc5 0.750 0.250 0.250
Sc6 0.750 0.250 0.750
Sc7 0.750 0.750 0.250
Sc8 0.750 0.750 0.750
Pd1 0.000 0.000 0.000
Pd2 0.000 0.500 0.500
Pd3 0.500 0.000 0.500
Pd4 0.500 0.500 0.000
Pt1 0.000 0.000 0.500
Pt2 0.000 0.500 0.000
Pt3 0.500 0.000 0.000
Pt4 0.500 0.500 0.500
```

No. 4
Starting from a crystal structure in the Materials Project, relaxed with PBE, the X-ray diffraction stick pattern of UPdPt4 was simulated for Cu Kα, 1.54184 Å.
Intensities are scaled so that the largest is 100.

Largest 12 diffraction maxima, by intensity, 2θ = 10–90°:
39.90°, I = 100.0; 41.75°, I = 45.1; 64.62°, I = 33.0; 71.17°, I = 28.9; 33.83°, I = 22.5; 86.05°, I = 17.9; 20.53°, I = 12.5; 84.84°, I = 12.1; 60.52°, I = 8.6; 48.59°, I = 6.8; 81.17°, I = 3.9; 23.74°, I = 3.4

Structure:
```
data_UPdPt4
_chemical_formula_sum 'U1 Pd1 Pt4'
_cell_length_a 5.299
_cell_length_b 5.299
_cell_length_c 5.299
_cell_angle_alpha 60.00
_cell_angle_beta 60.00
_cell_angle_gamma 60.00
_space_group_name_H-M_alt 'P 1'
_space_group_IT_number 1
loop_
_space_group_symop_operation_xyz
'x,y,z'
loop_
_atom_site_label
_atom_site_fract_x
_atom_site_fract_y
_atom_site_fract_z
U1 0.000 0.000 0.000
Pd1 0.250 0.250 0.250
Pt1 0.126 0.625 0.625
Pt2 0.625 0.126 0.625
Pt3 0.625 0.625 0.126
Pt4 0.625 0.625 0.625
```

No. 5
Starting from a crystal structure in the Materials Project, relaxed with PBE, the X-ray diffraction stick pattern of PuPd was simulated for Cu Kα, 1.54184 Å.
Intensities are scaled so that the largest is 100.

Largest 12 diffraction maxima, by intensity, 2θ = 10–90°:
38.71°, I = 100.0; 36.63°, I = 32.5; 22.36°, I = 28.3; 42.91°, I = 21.0; 67.33°, I = 20.0; 57.66°, I = 17.8; 75.80°, I = 14.3; 45.53°, I = 9.1; 59.80°, I = 8.4; 83.03°, I = 7.9; 48.91°, I = 7.8; 67.11°, I = 7.0

Structure:
```
data_PuPd
_chemical_formula_sum 'Pu4 Pd4'
_cell_length_a 4.216
_cell_length_b 4.907
_cell_length_c 6.781
_cell_angle_alpha 90.00
_cell_angle_beta 90.00
_cell_angle_gamma 90.00
_space_group_name_H-M_alt 'P 1'
_space_group_IT_number 1
loop_
_space_group_symop_operation_xyz
'x,y,z'
loop_
_atom_site_label
_atom_site_fract_x
_atom_site_fract_y
_atom_site_fract_z
Pu1 0.000 0.250 0.156
Pu2 0.000 0.750 0.844
Pu3 0.500 0.250 0.344
Pu4 0.500 0.750 0.656
Pd1 0.000 0.250 0.613
Pd2 0.000 0.750 0.387
Pd3 0.500 0.250 0.887
Pd4 0.500 0.750 0.113
```

No. 6
Starting from a crystal structure in the Materials Project, relaxed with PBE, the X-ray diffraction stick pattern of PuPd was simulated for Cu Kα, 1.54184 Å.
Intensities are scaled so that the largest is 100.

Largest 12 diffraction maxima, by intensity, 2θ = 10–90°:
32.20°, I = 100.0; 33.03°, I = 84.7; 38.91°, I = 82.0; 35.75°, I = 79.7; 28.14°, I = 60.4; 40.64°, I = 51.3; 53.76°, I = 45.2; 53.33°, I = 44.9; 40.98°, I = 31.1; 25.16°, I = 25.5; 69.51°, I = 23.0; 59.08°, I = 21.6

Structure:
```
data_PuPd
_chemical_formula_sum 'Pu4 Pd4'
_cell_length_a 7.129
_cell_length_b 4.440
_cell_length_c 5.865
_cell_angle_alpha 90.00
_cell_angle_beta 90.00
_cell_angle_gamma 90.00
_space_group_name_H-M_alt 'P 1'
_space_group_IT_number 1
loop_
_space_group_symop_operation_xyz
'x,y,z'
loop_
_atom_site_label
_atom_site_fract_x
_atom_site_fract_y
_atom_site_fract_z
Pu1 0.176 0.250 0.139
Pu2 0.324 0.750 0.639
Pu3 0.676 0.250 0.361
Pu4 0.824 0.750 0.861
Pd1 0.046 0.250 0.646
Pd2 0.454 0.750 0.146
Pd3 0.546 0.250 0.854
Pd4 0.954 0.750 0.354
```